# NiHg
Simulated powder diffraction line list, λ = 1.5418 Å (Cu Kα). Input: a structure optimized by DFT (PBE).
No peak broadening, texture or thermal motion is included.

Structure:
```
NiHg
1.0
3.152 0.000 0.000
0.000 3.152 0.000
0.000 0.000 3.152
Ni Hg
1 1
Direct
0.000 0.000 0.000
0.500 0.500 0.500
```

Peak list (7 most intense, 2θ = 10–90°, low angle first)
hkl 1 0 0, 28.3°, d = 3.152 Å, intensity 33; hkl 1 1 0, 40.5°, d = 2.229 Å, intensity 100; hkl 1 1 1, 50.1°, d = 1.820 Å, intensity 10; hkl 2 0 0, 58.6°, d = 1.576 Å, intensity 17; hkl 2 1 0, 66.3°, d = 1.410 Å, intensity 13; hkl 2 1 1, 73.6°, d = 1.287 Å, intensity 34; hkl 2 2 0, 87.5°, d = 1.115 Å, intensity 11